Entry 1:
# GePt15
Calculated powder XRD pattern, a wavelength of 1.5418 Å. Input: a PBE-relaxed structure.

Peak list (12 most intense, 2θ = 15–90°, most intense first)
two_theta  Rel. int.
38.76  100
39.16  97
45.93  95
39.97  49
40.36  47
79.91  40
80.66  38
67.14  38
46.14  34
65.50  27
44.03  23
66.42  16

```
GePt15
1.0
5.5502 0.0000 0.0000
0.0000 2.8155 0.0000
-0.0010 0.0000 45.2418
Ge Pt
2 30
Cartesian
0.6929 0.7039 7.7333
4.8563 2.1116 37.5085
0.6862 0.7039 31.6064
0.6866 0.7039 35.6650
0.6936 0.7039 11.6075
0.6937 0.7039 15.6311
0.6934 0.7039 19.6239
0.6930 0.7039 23.6211
0.6921 0.7039 27.6164
2.0759 2.1116 9.5771
2.0744 2.1116 13.6356
2.0805 2.1116 17.6258
2.0810 2.1116 21.6219
2.0805 2.1116 25.6199
2.0805 2.1116 29.6124
2.0803 2.1116 33.5964
2.0802 2.1116 37.6274
3.4690 0.7039 7.6144
3.4689 0.7039 11.6454
3.4688 0.7039 15.6294
3.4688 0.7039 19.6219
3.4682 0.7039 23.6199
3.4687 0.7039 27.6159
3.4748 0.7039 31.6062
3.4733 0.7039 35.6647
4.8571 2.1116 17.6254
4.8562 2.1116 21.6206
4.8559 2.1116 25.6179
4.8555 2.1116 29.6107
4.8557 2.1116 33.6343
4.8626 2.1116 9.5767
4.8630 2.1116 13.6354
```

***

Entry 2:
# TlPOsO
Calculated powder XRD pattern, a wavelength of 1.5418 Å. Input: a PBE-relaxed structure.

Peak list (12 most intense, 2θ = 15–90°, most intense first)
two_theta  Rel. int.
28.08  100
27.45  75
32.54  51
43.51  42
45.87  37
38.00  29
22.08  29
41.96  21
34.45  19
52.61  18
19.54  18
60.67  17

```
TlPOsO
1.0
3.4583 0.0000 0.0000
0.0000 8.0509 0.0000
0.0000 0.0000 5.5026
Tl P Os O
2 2 2 2
Cartesian
0.0000 0.8887 0.0000
0.0000 7.1622 2.7513
0.0000 2.7918 2.2364
0.0000 5.2591 4.9878
1.7291 3.7502 3.3356
1.7291 4.3007 0.5843
1.7291 2.5887 4.9755
1.7291 5.4623 2.2242
```

***

Entry 3:
# Cu5Ag4
Calculated powder XRD pattern, a wavelength of 1.5418 Å. Input: a PBE-relaxed structure.

Peak list (12 most intense, 2θ = 15–90°, most intense first)
two_theta  Rel. int.
39.89  100
46.76  47
67.42  21
44.07  17
36.38  15
41.12  14
81.30  11
38.51  10
82.10  10
64.77  9
79.10  9
73.74  8

```
Cu5Ag4
1.0
2.7783 0.0000 0.0000
-1.3891 2.4060 0.0000
0.0000 0.0000 19.7571
Cu Ag
5 4
Cartesian
0.0000 0.0000 0.0000
0.0000 1.6040 3.9370
0.0000 1.6040 17.7864
1.3891 0.8020 1.9707
1.3891 0.8020 15.8201
0.0000 0.0000 6.1696
0.0000 0.0000 13.5875
0.0000 1.6040 11.1011
1.3891 0.8020 8.6560
```

***

Entry 4:
# Tb2YZn2Si4Au2
Calculated powder XRD pattern, a wavelength of 1.5418 Å. Input: a PBE-relaxed structure.

Peak list (12 most intense, 2θ = 15–90°, most intense first)
two_theta  Rel. int.
33.95  100
33.46  35
45.29  23
30.70  22
43.03  22
44.89  20
28.39  17
55.58  16
65.67  15
32.87  14
63.92  14
38.81  13

```
Tb2YZn2Si4Au2
1.0
-2.0194 2.1022 12.5229
2.0194 -2.1022 12.5229
2.0194 2.1022 -12.5229
Tb Y Zn Si Au
2 1 2 4 2
Cartesian
0.0000 0.0000 3.6635
0.0000 0.0000 21.3823
0.0000 2.1022 0.0000
2.0194 0.0000 6.2367
0.0000 2.1022 6.2861
2.0194 0.0000 1.1700
0.0000 0.0000 7.7244
0.0000 0.0000 17.3214
0.0000 2.1022 11.3529
0.0000 0.0000 10.1401
0.0000 0.0000 14.9057
```

***

Entry 5:
# HfSc3C2S2
Calculated powder XRD pattern, a wavelength of 1.5418 Å. Input: a PBE-relaxed structure.

Peak list (12 most intense, 2θ = 15–90°, most intense first)
two_theta  Rel. int.
37.79  100
31.05  38
30.11  37
53.48  27
33.71  23
42.93  19
67.33  17
55.52  15
72.77  12
22.29  11
48.90  11
29.87  10

```
HfSc3C2S2
1.0
3.4268 0.0000 0.0000
-1.7134 2.9677 0.0000
0.0000 0.0000 11.9642
Hf Sc C S
1 3 2 2
Cartesian
0.0000 0.0000 0.0000
0.0000 0.0000 8.3798
0.0000 1.9784 2.4619
0.0000 1.9784 5.9572
1.7134 0.9892 1.1599
1.7134 0.9892 7.2077
0.0000 0.0000 4.1939
0.0000 1.9784 10.2126
```

***

Entry 6:
# PmNd2
Calculated powder XRD pattern, a wavelength of 1.5418 Å. Input: a PBE-relaxed structure.

Peak list (12 most intense, 2θ = 15–90°, most intense first)
two_theta  Rel. int.
31.22  100
32.65  40
49.87  36
54.65  32
26.54  27
77.11  22
65.13  16
64.29  13
89.29  12
46.85  11
74.78  6
80.95  5

```
PmNd2
1.0
0.0000 4.7505 4.7505
4.7505 0.0000 4.7505
4.7505 4.7505 0.0000
Pm Nd
2 4
Cartesian
1.1876 1.1876 1.1876
8.3134 8.3134 8.3134
4.7505 2.3752 2.3752
2.3752 4.7505 2.3752
2.3752 2.3752 4.7505
4.7505 4.7505 4.7505
```

***

Entry 7:
# Ba3Ni2P4
Calculated powder XRD pattern, a wavelength of 1.5418 Å. Input: a PBE-relaxed structure.

Peak list (12 most intense, 2θ = 15–90°, most intense first)
two_theta  Rel. int.
28.49  100
23.84  71
33.93  53
34.81  49
47.86  43
37.73  41
27.14  39
40.13  31
35.63  31
30.82  29
22.10  28
27.53  22

```
Ba3Ni2P4
1.0
6.3838 -5.0395 0.0000
6.3838 5.0395 0.0000
-1.9215 0.0000 6.6788
Ba Ni P
6 4 8
Cartesian
4.9426 4.2656 5.0091
3.9920 1.3746 2.7768
7.8148 1.3746 0.5626
3.0312 -1.3746 6.1162
6.8541 -1.3746 3.9019
5.9034 -4.2656 1.6697
0.7279 1.2659 6.6337
1.6886 -1.2659 3.2943
9.1574 1.2659 3.3845
10.1182 -1.2659 0.0451
1.3348 0.6996 4.4307
2.7775 1.9234 5.8274
2.2956 -0.6996 1.0913
7.1078 1.9234 4.1908
3.7383 -1.9234 2.4880
8.5504 0.6996 5.5875
8.0685 -1.9234 0.8514
9.5112 -0.6996 2.2481
```

***

Entry 8:
# Be2InPt2
Calculated powder XRD pattern, a wavelength of 1.5418 Å. Input: a PBE-relaxed structure.

Peak list (12 most intense, 2θ = 15–90°, most intense first)
two_theta  Rel. int.
34.23  100
36.07  76
46.43  55
26.42  36
63.68  33
72.19  30
51.93  30
47.87  23
15.07  19
75.03  18
30.40  16
86.18  14

```
Be2InPt2
1.0
3.5217 0.0000 0.0000
0.0000 3.5217 0.0000
0.0000 0.0000 11.7599
Be In Pt
4 2 4
Cartesian
0.0000 1.7608 2.9400
0.0000 1.7608 8.8199
1.7608 0.0000 2.9400
1.7608 0.0000 8.8199
0.0000 0.0000 0.0000
1.7608 1.7608 5.8799
0.0000 0.0000 4.4542
0.0000 0.0000 7.3057
1.7608 1.7608 1.4258
1.7608 1.7608 10.3341
```